(1)
This entry pairs a crystal structure of Rb2CaAsF6 with its computed powder diffraction line list. Radiation: CuKα. Structure: a structure optimized by DFT (GGA-PBE).
Lines closer than 0.1° are merged.

abc: 6.3648 6.3648 6.3648
angles: 117.56 117.56 94.28
Fractional coordinates of all 10 atoms:
Rb1 0.2500 0.7500 0.5000
Rb2 0.7500 0.2500 0.5000
Ca1 0.0000 0.0000 0.0000
As1 0.5000 0.5000 0.0000
F1 0.2397 0.2397 0.4795
F2 0.2397 0.7603 0.0000
F3 0.2633 0.2633 0.0000
F4 0.7367 0.7367 0.0000
F5 0.7603 0.2397 0.0000
F6 0.7603 0.7603 0.5205

Most intense lines, 2θ from 10° to 90°, low angle first:
2θ = 27.03°, rel. 55.2; 2θ = 28.12°, rel. 100.0; 2θ = 34.17°, rel. 27.3; 2θ = 38.59°, rel. 54.6; 2θ = 41.73°, rel. 21.4; 2θ = 48.43°, rel. 43.7; 2θ = 50.42°, rel. 19.3; 2θ = 55.73°, rel. 16.9; 2θ = 58.14°, rel. 29.3; 2θ = 71.97°, rel. 14.6

***

(2)
This entry pairs a crystal structure of LaNdDyTm2 with its computed powder diffraction line list. Radiation: CuKα. Structure: a structure optimized by DFT (GGA-PBE).
Lines closer than 0.1° are merged.

abc: 8.9749 8.9749 6.4220
angles: 90.00 90.00 137.99
Fractional coordinates of all 10 atoms:
La1 0.1591 0.8409 0.7500
La2 0.8409 0.1591 0.2500
Nd1 0.3443 0.6557 0.7500
Nd2 0.6557 0.3443 0.2500
Dy1 0.2723 0.7277 0.2500
Dy2 0.7277 0.2723 0.7500
Tm1 0.2535 0.2535 0.0000
Tm2 0.2535 0.2535 0.5000
Tm3 0.7465 0.7465 0.0000
Tm4 0.7465 0.7465 0.5000

Most intense lines, 2θ from 10° to 90°, low angle first:
2θ = 25.26°, rel. 16.0; 2θ = 29.77°, rel. 100.0; 2θ = 32.05°, rel. 13.9; 2θ = 33.21°, rel. 32.6; 2θ = 35.19°, rel. 27.5; 2θ = 39.66°, rel. 38.8; 2θ = 51.87°, rel. 14.4; 2θ = 52.66°, rel. 17.7; 2θ = 62.51°, rel. 12.7; 2θ = 65.94°, rel. 20.8

***

(3)
This entry pairs a crystal structure of Li4MgHg2 with its computed powder diffraction line list. Radiation: CuKα. Structure: a structure optimized by DFT (GGA-PBE).
Lines closer than 0.1° are merged.

abc: 7.4914 7.4914 7.4914
angles: 36.41 36.41 36.41
Fractional coordinates of all 7 atoms:
Li1 0.0855 0.0855 0.0855
Li2 0.3606 0.3606 0.3606
Li3 0.6394 0.6394 0.6394
Li4 0.9145 0.9145 0.9145
Mg1 0.5000 0.5000 0.5000
Hg1 0.2309 0.2309 0.2309
Hg2 0.7691 0.7691 0.7691

Most intense lines, 2θ from 10° to 90°, low angle first:
2θ = 12.67°, rel. 25.9; 2θ = 23.53°, rel. 100.0; 2θ = 25.50°, rel. 16.7; 2θ = 27.83°, rel. 69.3; 2θ = 37.34°, rel. 28.3; 2θ = 38.47°, rel. 44.6; 2θ = 45.59°, rel. 18.1; 2θ = 46.72°, rel. 20.6; 2θ = 48.14°, rel. 15.9; 2θ = 55.68°, rel. 16.9

***

(4)
This entry pairs a crystal structure of K2PtIO6 with its computed powder diffraction line list. Radiation: CuKα. Structure: a structure optimized by DFT (GGA-PBE).
Lines closer than 0.1° are merged.

abc: 10.6475 10.6475 10.6475
angles: 31.91 31.91 31.91
Fractional coordinates of all 20 atoms:
K1 0.1178 0.1178 0.1178
K2 0.2917 0.2917 0.2917
K3 0.7083 0.7083 0.7083
K4 0.8822 0.8822 0.8822
Pt1 0.4092 0.4092 0.4092
Pt2 0.5908 0.5908 0.5908
I1 0.0000 0.0000 0.0000
I2 0.5000 0.5000 0.5000
O1 0.1651 0.6054 0.6054
O2 0.2024 0.2024 0.7134
O3 0.2024 0.7134 0.2024
O4 0.2866 0.7976 0.7976
O5 0.3946 0.3946 0.8349
O6 0.3946 0.8349 0.3946
O7 0.6054 0.1651 0.6054
O8 0.6054 0.6054 0.1651
O9 0.7134 0.2024 0.2024
O10 0.7976 0.2866 0.7976
O11 0.7976 0.7976 0.2866
O12 0.8349 0.3946 0.3946

Most intense lines, 2θ from 10° to 90°, low angle first:
2θ = 17.74°, rel. 64.2; 2θ = 18.45°, rel. 100.0; 2θ = 22.87°, rel. 25.4; 2θ = 27.09°, rel. 26.4; 2θ = 30.54°, rel. 99.5; 2θ = 34.49°, rel. 52.8; 2θ = 41.27°, rel. 21.8; 2θ = 46.73°, rel. 32.3; 2θ = 47.56°, rel. 34.5; 2θ = 56.85°, rel. 28.7

***

(5)
This entry pairs a crystal structure of Ce6Sb5Br with its computed powder diffraction line list. Radiation: CuKα. Structure: a structure optimized by DFT (GGA-PBE).
Lines closer than 0.1° are merged.

abc: 7.7803 7.7803 7.7324
angles: 99.66 99.66 120.04
Fractional coordinates of all 12 atoms:
Ce1 0.0810 0.4163 0.7488
Ce2 0.2484 0.2484 0.2515
Ce3 0.4163 0.0810 0.7488
Ce4 0.5837 0.9190 0.2512
Ce5 0.7516 0.7516 0.7485
Ce6 0.9190 0.5837 0.2512
Sb1 0.0000 0.0000 0.5000
Sb2 0.1668 0.8332 0.0000
Sb3 0.3339 0.6661 0.5000
Sb4 0.6661 0.3339 0.5000
Sb5 0.8332 0.1668 0.0000
Br1 0.5000 0.5000 0.0000

Most intense lines, 2θ from 10° to 90°, low angle first:
2θ = 28.16°, rel. 100.0; 2θ = 40.16°, rel. 38.4; 2θ = 40.35°, rel. 37.9; 2θ = 49.77°, rel. 20.5; 2θ = 50.10°, rel. 6.7; 2θ = 58.24°, rel. 12.7; 2θ = 65.79°, rel. 17.6; 2θ = 66.05°, rel. 11.6; 2θ = 72.97°, rel. 6.5; 2θ = 73.10°, rel. 12.9

***

(6)
This entry pairs a crystal structure of AgP4Au with its computed powder diffraction line list. Radiation: CuKα. Structure: a structure optimized by DFT (GGA-PBE).
Lines closer than 0.1° are merged.

abc: 3.2586 4.9330 7.8589
angles: 89.94 89.83 71.30
Fractional coordinates of all 6 atoms:
Ag1 0.0000 0.0000 0.0000
P1 0.1731 0.6565 0.7388
P2 0.1751 0.6566 0.2612
P3 0.8249 0.3434 0.7388
P4 0.8269 0.3435 0.2612
Au1 0.0000 0.0000 0.5000

Most intense lines, 2θ from 10° to 90°, low angle first:
2θ = 11.26°, rel. 25.9; 2θ = 18.99°, rel. 56.4; 2θ = 22.63°, rel. 21.9; 2θ = 28.93°, rel. 50.4; 2θ = 29.12°, rel. 50.5; 2θ = 29.71°, rel. 100.0; 2θ = 37.11°, rel. 24.8; 2θ = 45.15°, rel. 27.9; 2θ = 46.23°, rel. 37.2; 2θ = 46.67°, rel. 36.4